Simulated powder XRD pattern
Compound: Na3B5Pt9
Radiation: Cu Kα
Structure: a crystal structure in OQMD, relaxed with GGA-PBE
No peak broadening, texture or thermal motion is included.

The 6 most intense peaks (10 to 90 degrees two-theta), in order of rising 2θ:
2θ (°)	Rel. int.	(hkl)
17.58	57	1 1 0
33.27	88	0 2 5
35.88	70	0 4 3
36.09	100	2 2 1
48.33	64	2 0 6
48.75	49	2 4 3

Crystal structure
abc: 5.6135 11.5055 15.2400
angles: 90.00 90.00 90.00
Space group Cmcm (No. 63)
Unique sites:
Na  0.0000  0.0588  0.0860
Na  0.0000  0.1861  0.2500
B  0.0000  0.2281  0.7500
B  0.0000  0.3103  0.5275
B  0.0000  0.4441  0.1467
Pt  0.0000  0.3726  0.6569
Pt  0.0000  0.5000  0.0000
Pt  0.2459  0.0874  0.7500
Pt  0.2480  0.3160  0.0791

=====

Simulated powder XRD pattern
Compound: Na3Sm3B2
Radiation: Cu Kα
Structure: a crystal structure in OQMD, relaxed with GGA-PBE
No peak broadening, texture or thermal motion is included.

The 6 most intense peaks (10 to 90 degrees two-theta), in order of rising 2θ:
2θ (°)	Rel. int.	(hkl)
14.01	100	0 0 2
27.00	59	1 1 0
28.24	27	0 0 4
30.54	59	1 1 2
39.47	48	1 1 4
41.21	28	2 0 2

Crystal structure
abc: 4.6706 4.6706 12.6405
angles: 90.00 90.00 90.00
Space group P-4m2 (No. 115)
Unique sites:
Na  0.0000  0.0000  0.0000
Na  0.0000  0.0000  0.2450
Sm  0.0000  0.0000  0.5000
Sm  0.5000  0.5000  0.0000
Sm  0.5000  0.5000  0.5000
B  0.0000  0.5000  0.5941

=====

Simulated powder XRD pattern
Compound: NaTbB4
Radiation: Cu Kα
Structure: a crystal structure in OQMD, relaxed with GGA-PBE
No peak broadening, texture or thermal motion is included.

The 6 most intense peaks (10 to 90 degrees two-theta), in order of rising 2θ:
2θ (°)	Rel. int.	(hkl)
19.44	100	0 1 1
22.17	43	0 0 2
30.42	32	1 0 1
32.61	44	1 1 0
39.46	38	0 2 2
39.79	69	1 1 2

Crystal structure
abc: 3.1580 5.5565 8.0177
angles: 90.00 90.00 90.00
Space group Immm (No. 71)
Unique sites:
Na  0.0000  0.0000  0.0000
Tb  0.0000  0.0000  0.5000
B  0.0000  0.3197  0.2433